Theoretical PXRD pattern of LiTm2Al for Cu Kα, 1.54184 Å, from DFT lattice parameters and positions (PBE).
Neutral-atom scattering factors, no anomalous dispersion.

Structural model:
```
data_LiTm2Al
_cell_length_a 7.1860
_cell_length_b 7.1860
_cell_length_c 7.1860
_cell_angle_alpha 90.00
_cell_angle_beta 90.00
_cell_angle_gamma 90.00
_space_group_name_H-M_alt 'F m -3 m'
_space_group_IT_number 225
_space_group_name_Hall '-F 4 2 3'
loop_
_atom_site_label
_atom_site_type_symbol
_atom_site_fract_x
_atom_site_fract_y
_atom_site_fract_z
Li1 Li 0.0000 0.0000 0.0000
Tm1 Tm 0.2500 0.2500 0.2500
Al1 Al 0.0000 0.0000 0.5000
```

Main lines, sorted by position (2θ from 10° to 90°):
- hkl 1 1 1, 2θ 21.4, I 1
- hkl 2 0 0, 2θ 24.8, I 84
- hkl 2 2 0, 2θ 35.3, I 100
- hkl 2 2 2, 2θ 43.6, I 25
- hkl 4 0 0, 2θ 50.8, I 18
- hkl 4 2 0, 2θ 57.3, I 34
- hkl 4 2 2, 2θ 63.4, I 37
- hkl 4 4 0, 2θ 74.7, I 11
- hkl 6 0 0, 2θ 80.1, I 16
- hkl 6 2 0, 2θ 85.5, I 16